The following is a simulated X-ray powder pattern of RbCeInCl6. It was derived from a DFT-relaxed cell (PBE, Alexandria), using Cu Kα, 1.54184 Å.

Structural model:
Cell lengths 7.0735, 7.0735, 13.6807 Å; angles 90.00, 90.00, 90.00 degrees
Atoms (fractional coordinates):
Rb (0.0000, 0.0000, 0.0000)
Rb (0.5000, 0.5000, 0.5000)
Ce (0.0000, 0.0000, 0.6633)
Ce (0.5000, 0.5000, 0.1633)
In (0.0000, 0.0000, 0.3316)
In (0.5000, 0.5000, 0.8316)
Cl (0.1737, 0.1737, 0.5151)
Cl (0.1890, 0.1890, 0.7993)
Cl (0.2358, 0.2358, 0.1708)
Cl (0.2642, 0.7358, 0.6708)
Cl (0.3110, 0.6890, 0.2993)
Cl (0.3263, 0.6737, 0.0151)
Cl (0.6737, 0.3263, 0.0151)
Cl (0.6890, 0.3110, 0.2993)
Cl (0.7358, 0.2642, 0.6708)
Cl (0.7642, 0.7642, 0.1708)
Cl (0.8110, 0.8110, 0.7993)
Cl (0.8263, 0.8263, 0.5151)

Most intense lines, 2θ = 5–70°, sorted by position:
2θ/deg  Rel. int.  index
14.10  15  1 0 1
17.73  100  1 1 0
23.21  60  1 0 3
26.45  19  1 1 3
34.51  81  2 1 3
35.91  28  2 2 0
40.32  15  3 1 0
43.19  33  3 0 3
43.63  18  1 1 6
50.65  12  3 2 3
54.46  14  2 2 6
57.39  15  4 1 3